Tb7Y2Er3: theoretical PXRD pattern (λ = 1.5418 Å (Cu Kα)), based on a DFT-relaxed cell (PBE, Alexandria).

Largest 10 diffraction maxima, sorted by position, 10° ≤ 2θ ≤ 80°:
d/Å  intensity
4.489  22
2.897  1000
2.509  505
1.778  60
1.773  298
1.514  213
1.512  212
1.451  61
1.447  61
1.255  57

Structural model:
```
Tb7Y2Er3
1.0
0.0000 5.0162 10.6264
3.5562 0.0000 10.6264
3.5562 5.0162 0.0000
Tb Y Er
7 2 3
direct
0.0000 0.0000 0.0000 Tb
0.0831 0.0831 0.4169 Tb
0.2500 0.2500 0.2500 Tb
0.4169 0.4169 0.0831 Tb
0.5831 0.5831 0.9169 Tb
0.7500 0.7500 0.7500 Tb
0.9169 0.9169 0.5831 Tb
0.3331 0.3331 0.6669 Y
0.6669 0.6669 0.3331 Y
0.1662 0.1662 0.8338 Er
0.5000 0.5000 0.5000 Er
0.8338 0.8338 0.1662 Er
```

***

MgFe2Os: theoretical PXRD pattern (λ = 1.5418 Å (Cu Kα)), based on a DFT-relaxed cell (PBE, Alexandria).

Largest 10 diffraction maxima, sorted by position, 10° ≤ 2θ ≤ 80°:
d/Å  intensity
4.303  127
3.860  660
2.804  231
2.159  264
2.152  252
2.126  1000
2.062  152
1.524  164
1.240  167
1.237  154

Structural model:
```
MgFe2Os
1.0
2.9662 0.0000 0.0000
0.0000 4.3182 0.0000
0.0000 0.0000 8.6066
Mg Fe Os
2 4 2
direct
0.0000 0.0000 0.0000 Mg
0.5000 0.5000 0.5000 Mg
0.0000 0.5000 0.2372 Fe
0.0000 0.5000 0.7628 Fe
0.5000 0.0000 0.2628 Fe
0.5000 0.0000 0.7372 Fe
0.0000 0.0000 0.5000 Os
0.5000 0.5000 0.0000 Os
```

***

Nd7Er3In: theoretical PXRD pattern (λ = 1.5418 Å (Cu Kα)), based on a DFT-relaxed cell (PBE, Alexandria).

Largest 10 diffraction maxima, sorted by position, 10° ≤ 2θ ≤ 80°:
d/Å  intensity
5.002  87
2.895  1000
2.868  323
2.501  666
1.775  238
1.763  233
1.513  141
1.509  278
1.502  135
1.447  121

Structural model:
```
Nd7Er3In
1.0
7.0982 0.0000 0.0000
-3.5491 6.1472 0.0000
0.0000 0.0000 8.6055
Nd Er In
7 3 1
direct
0.0000 0.0000 0.0000 Nd
0.1643 0.3286 0.6580 Nd
0.1643 0.8357 0.6580 Nd
0.5024 0.0048 0.9924 Nd
0.5024 0.4976 0.9924 Nd
0.6714 0.8357 0.6580 Nd
0.9952 0.4976 0.9924 Nd
0.3334 0.1667 0.3290 Er
0.8333 0.1667 0.3290 Er
0.8333 0.6666 0.3290 Er
0.6667 0.3333 0.6476 In
```

***

Tm2In3Pb3: theoretical PXRD pattern (λ = 1.5418 Å (Cu Kα)), based on a DFT-relaxed cell (PBE, Alexandria).

Largest 10 diffraction maxima, sorted by position, 10° ≤ 2θ ≤ 80°:
d/Å  intensity
5.078  23
2.737  1000
2.539  204
2.298  306
1.704  245
1.625  105
1.501  162
1.397  253
1.369  119
1.269  23

Structural model:
```
Tm2In3Pb3
1.0
4.5947 0.0000 0.0000
0.0000 5.0775 0.0000
0.0000 0.0000 9.1926
Tm In Pb
2 3 3
direct
0.0000 0.0000 0.2454 Tm
0.0000 0.0000 0.7546 Tm
0.0000 0.5000 0.0000 In
0.5000 0.5000 0.2420 In
0.5000 0.5000 0.7580 In
0.0000 0.5000 0.5000 Pb
0.5000 0.0000 0.0000 Pb
0.5000 0.0000 0.5000 Pb
```